Ce4PaSe10: theoretical powder X-ray diffraction pattern (copper Kα), based on a DFT-relaxed cell (PBE, Alexandria).
Lines closer than 0.1° are merged.

Structure:
Unit cell a=8.4402 b=8.4402 c=8.4402 alpha=99.61 beta=99.61 gamma=131.78
Fractional positions:
Ce (0.0990, 0.6991, 0.7981)
Ce (0.3009, 0.0990, 0.3999)
Ce (0.6991, 0.9010, 0.6001)
Ce (0.9010, 0.3009, 0.2019)
Pa (0.5000, 0.5000, 0.0000)
Se (0.0599, 0.3545, 0.9040)
Se (0.1559, 0.0599, 0.7054)
Se (0.2500, 0.7500, 0.5000)
Se (0.3545, 0.4505, 0.2946)
Se (0.4505, 0.1559, 0.0960)
Se (0.5495, 0.8441, 0.9040)
Se (0.6455, 0.5495, 0.7054)
Se (0.7500, 0.2500, 0.5000)
Se (0.8441, 0.9401, 0.2946)
Se (0.9401, 0.6455, 0.0960)

Most intense lines, 10 to 80 degrees two-theta, by angle:
2θ (°)	intensity
11.5	19
15.2	21
22.3	598
36.9	1000
43.6	313
53.2	173
58.4	132
66.5	349
71.1	98
78.5	110